# 1
Starting from DFT lattice parameters and positions (GGA-PBE), the powder X-ray diffraction pattern of AcPm7Ho12 was computed for Cu Ka.
Peak positions follow from Bragg's law for the DFT cell and can differ from measured ones.

```
data_AcPm7Ho12
_cell_length_a 11.3312
_cell_length_b 11.3312
_cell_length_c 11.3312
_cell_angle_alpha 90.00
_cell_angle_beta 90.00
_cell_angle_gamma 90.00
_symmetry_space_group_name_H-M 'I m -3 m'
_symmetry_Int_Tables_number 229
_symmetry_space_group_name_Hall '-I 4 2 3'
loop_
_atom_site_label
_atom_site_type_symbol
_atom_site_fract_x
_atom_site_fract_y
_atom_site_fract_z
Ac1 Ac 0.0000 0.0000 0.0000
Pm1 Pm 0.0000 0.0000 0.5000
Pm2 Pm 0.2500 0.2500 0.2500
Ho1 Ho 0.0000 0.2558 0.2558
```

Top 12 peaks for 2θ = 10–80°, in order of rising 2θ:
2θ 15.6, I = 178, hkl 2 0 0
2θ 22.2, I = 172, hkl 2 2 0
2θ 27.3, I = 776, hkl 2 2 2
2θ 31.6, I = 1000, hkl 4 0 0
2θ 35.4, I = 95, hkl 4 2 0
2θ 38.9, I = 84, hkl 4 2 2
2θ 45.3, I = 738, hkl 4 4 0
2θ 53.7, I = 353, hkl 6 2 2
2θ 56.2, I = 258, hkl 4 4 4
2θ 66.0, I = 119, hkl 8 0 0
2θ 72.8, I = 139, hkl 6 6 2
2θ 75.0, I = 325, hkl 8 4 0

# 2
Starting from DFT lattice parameters and positions (GGA-PBE), the powder X-ray diffraction pattern of AcPm4Ho7 was computed for Cu Ka.
Peak positions follow from Bragg's law for the DFT cell and can differ from measured ones.

```
data_AcPm4Ho7
_cell_length_a 6.2979
_cell_length_b 7.2716
_cell_length_c 8.9653
_cell_angle_alpha 89.91
_cell_angle_beta 76.44
_cell_angle_gamma 90.00
_symmetry_space_group_name_H-M 'P -1'
_symmetry_Int_Tables_number 2
_symmetry_space_group_name_Hall '-P 1'
loop_
_atom_site_label
_atom_site_type_symbol
_atom_site_fract_x
_atom_site_fract_y
_atom_site_fract_z
Ac1 Ac 0.0000 0.0000 0.0000
Pm1 Pm 0.2218 0.4993 0.3323
Pm2 Pm 0.2802 0.7482 0.6630
Ho1 Ho 0.0000 0.5000 0.0000
Ho2 Ho 0.2237 0.9994 0.3368
Ho3 Ho 0.2794 0.2513 0.6648
Ho4 Ho 0.4997 0.2522 0.9994
```

Top 12 peaks for 2θ = 10–80°, in order of rising 2θ:
2θ 28.6, I = 412, hkl 1 2 0
2θ 30.8, I = 499, hkl 0 0 3
2θ 31.5, I = 1000, hkl -1 2 1
2θ 33.2, I = 907, hkl 2 0 -1
2θ 39.8, I = 155, hkl 1 2 3
2θ 45.1, I = 133, hkl 1 2 -3
2θ 50.2, I = 386, hkl 3 2 1
2θ 54.1, I = 212, hkl -1 2 4
2θ 57.4, I = 198, hkl 2 0 -4
2θ 60.0, I = 451, hkl 3 2 4
2θ 60.5, I = 157, hkl 2 4 2
2θ 61.5, I = 155, hkl 2 4 -1

# 3
Starting from DFT lattice parameters and positions (GGA-PBE), the powder X-ray diffraction pattern of Ac8Pm5Ho was computed for Cu Ka.
Peak positions follow from Bragg's law for the DFT cell and can differ from measured ones.

```
data_Ac8Pm5Ho
_cell_length_a 9.0279
_cell_length_b 9.0826
_cell_length_c 9.2718
_cell_angle_alpha 62.53
_cell_angle_beta 61.56
_cell_angle_gamma 87.06
_symmetry_space_group_name_H-M 'P 1'
_symmetry_Int_Tables_number 1
_symmetry_space_group_name_Hall 'P 1'
loop_
_atom_site_label
_atom_site_type_symbol
_atom_site_fract_x
_atom_site_fract_y
_atom_site_fract_z
Ac1 Ac 0.0000 0.0000 0.0000
Ac2 Ac 0.0670 0.6913 0.3839
Ac3 Ac 0.2693 0.9269 0.5452
Ac4 Ac 0.4672 0.1831 0.7350
Ac5 Ac 0.5776 0.8564 0.0603
Ac6 Ac 0.6788 0.3459 0.9485
Ac7 Ac 0.7478 0.9993 0.4601
Ac8 Ac 0.8802 0.5044 0.1636
Pm1 Pm 0.1986 0.2186 0.1567
Pm2 Pm 0.3543 0.6590 0.9270
Pm3 Pm 0.3770 0.4031 0.3577
Pm4 Pm 0.5930 0.6326 0.4951
Pm5 Pm 0.9411 0.2229 0.5896
Ho1 Ho 0.1636 0.4524 0.7584
```

Top 12 peaks for 2θ = 10–80°, in order of rising 2θ:
2θ 23.0, I = 196, hkl 1 -2 0
2θ 28.8, I = 555, hkl 1 -2 1
2θ 29.1, I = 726, hkl 2 2 1
2θ 29.3, I = 652, hkl -2 1 1
2θ 29.7, I = 432, hkl 1 1 3
2θ 30.7, I = 1000, hkl 0 3 2
2θ 39.6, I = 196, hkl 1 1 -2
2θ 44.5, I = 163, hkl 3 3 4
2θ 50.3, I = 156, hkl 1 4 0
2θ 53.5, I = 184, hkl 5 -1 1
2θ 53.9, I = 166, hkl 5 2 3
2θ 60.4, I = 175, hkl 4 4 2

# 4
Starting from DFT lattice parameters and positions (GGA-PBE), the powder X-ray diffraction pattern of AcPm3Ho4 was computed for Cu Ka.
Peak positions follow from Bragg's law for the DFT cell and can differ from measured ones.

```
data_AcPm3Ho4
_cell_length_a 11.6444
_cell_length_b 7.3907
_cell_length_c 6.3459
_cell_angle_alpha 90.00
_cell_angle_beta 90.00
_cell_angle_gamma 90.00
_symmetry_space_group_name_H-M 'P m n 21'
_symmetry_Int_Tables_number 31
_symmetry_space_group_name_Hall 'P 2ac -2'
loop_
_atom_site_label
_atom_site_type_symbol
_atom_site_fract_x
_atom_site_fract_y
_atom_site_fract_z
Ac1 Ac 0.0000 0.1261 0.0000
Pm1 Pm 0.0000 0.8663 0.4907
Pm2 Pm 0.2472 0.1305 0.6528
Ho1 Ho 0.0000 0.3839 0.4907
Ho2 Ho 0.0000 0.6216 0.9880
Ho3 Ho 0.2478 0.6189 0.6563
```

Top 12 peaks for 2θ = 10–80°, in order of rising 2θ:
2θ 27.9, I = 221, hkl 0 2 1
2θ 28.1, I = 128, hkl 0 0 2
2θ 30.7, I = 365, hkl 4 0 0
2θ 32.0, I = 1000, hkl 2 2 1
2θ 32.1, I = 468, hkl 2 0 2
2θ 42.0, I = 149, hkl 4 2 1
2θ 49.7, I = 191, hkl 0 2 3
2θ 55.4, I = 212, hkl 6 2 1
2θ 55.5, I = 100, hkl 6 0 2
2θ 59.2, I = 112, hkl 4 4 0
2θ 59.5, I = 223, hkl 4 2 3
2θ 60.1, I = 155, hkl 2 4 2

# 5
Starting from DFT lattice parameters and positions (GGA-PBE), the powder X-ray diffraction pattern of Ac4Pm3Ho2 was computed for Cu Ka.
Peak positions follow from Bragg's law for the DFT cell and can differ from measured ones.

```
data_Ac4Pm3Ho2
_cell_length_a 5.4001
_cell_length_b 6.4488
_cell_length_c 11.3054
_cell_angle_alpha 105.20
_cell_angle_beta 90.01
_cell_angle_gamma 114.67
_symmetry_space_group_name_H-M 'P -1'
_symmetry_Int_Tables_number 2
_symmetry_space_group_name_Hall '-P 1'
loop_
_atom_site_label
_atom_site_type_symbol
_atom_site_fract_x
_atom_site_fract_y
_atom_site_fract_z
Ac1 Ac 0.0031 0.0065 0.3317
Ac2 Ac 0.3339 0.6679 0.1110
Pm1 Pm 0.0000 0.0000 0.0000
Pm2 Pm 0.3340 0.6679 0.4479
Ho1 Ho 0.3285 0.6572 0.7722
```

Top 12 peaks for 2θ = 10–80°, in order of rising 2θ:
2θ 28.9, I = 1000, hkl 1 0 -3
2θ 29.0, I = 988, hkl 1 1 0
2θ 33.2, I = 701, hkl 2 -1 0
2θ 34.4, I = 318, hkl 0 2 -3
2θ 47.6, I = 259, hkl 2 0 3
2θ 48.3, I = 123, hkl 0 1 -6
2θ 48.5, I = 245, hkl 2 1 -3
2θ 56.6, I = 154, hkl 1 0 6
2θ 56.7, I = 233, hkl 3 0 0
2θ 56.8, I = 229, hkl 3 -3 0
2θ 58.2, I = 143, hkl 1 2 -6
2θ 59.9, I = 131, hkl 2 0 -6

# 6
Starting from DFT lattice parameters and positions (GGA-PBE), the powder X-ray diffraction pattern of AcPm6Ho2 was computed for Cu Ka.
Peak positions follow from Bragg's law for the DFT cell and can differ from measured ones.

```
data_AcPm6Ho2
_cell_length_a 3.6703
_cell_length_b 3.6703
_cell_length_c 27.1636
_cell_angle_alpha 90.00
_cell_angle_beta 90.00
_cell_angle_gamma 120.00
_symmetry_space_group_name_H-M 'P -6 m 2'
_symmetry_Int_Tables_number 187
_symmetry_space_group_name_Hall 'P -6 2'
loop_
_atom_site_label
_atom_site_type_symbol
_atom_site_fract_x
_atom_site_fract_y
_atom_site_fract_z
Ac1 Ac 0.0000 0.0000 0.0000
Pm1 Pm 0.0000 0.0000 0.2251
Pm2 Pm 0.0000 0.0000 0.4344
Pm3 Pm 0.3333 0.6667 0.1172
Ho1 Ho 0.3333 0.6667 0.3320
```

Top 12 peaks for 2θ = 10–80°, in order of rising 2θ:
2θ 28.1, I = 534, hkl 1 0 0
2θ 29.6, I = 535, hkl 0 0 9
2θ 31.1, I = 885, hkl 1 0 4
2θ 32.6, I = 1000, hkl 1 0 5
2θ 34.5, I = 158, hkl 1 0 6
2θ 41.2, I = 342, hkl 1 0 9
2θ 49.7, I = 425, hkl 1 1 0
2θ 52.4, I = 144, hkl 1 0 13
2θ 55.5, I = 243, hkl 1 0 14
2θ 58.9, I = 464, hkl 1 1 9
2θ 59.8, I = 139, hkl 2 0 4
2θ 60.7, I = 171, hkl 2 0 5

# 7
Starting from DFT lattice parameters and positions (GGA-PBE), the powder X-ray diffraction pattern of AcPmPrHo2 was computed for Cu Ka.
Peak positions follow from Bragg's law for the DFT cell and can differ from measured ones.

```
data_AcPmPrHo2
_cell_length_a 6.6075
_cell_length_b 17.5228
_cell_length_c 6.4844
_cell_angle_alpha 90.00
_cell_angle_beta 90.00
_cell_angle_gamma 90.00
_symmetry_space_group_name_H-M 'C m c m'
_symmetry_Int_Tables_number 63
_symmetry_space_group_name_Hall '-C 2c 2'
loop_
_atom_site_label
_atom_site_type_symbol
_atom_site_fract_x
_atom_site_fract_y
_atom_site_fract_z
Ac1 Ac 0.0000 0.1564 0.2500
Pm1 Pm 0.0000 0.2812 0.7500
Pr1 Pr 0.0000 0.3475 0.2500
Ho1 Ho 0.2431 0.5000 0.0000
```

Top 12 peaks for 2θ = 10–80°, in order of rising 2θ:
2θ 19.8, I = 325, hkl 1 1 1
2θ 24.5, I = 458, hkl 1 3 1
2θ 28.9, I = 1000, hkl 2 2 0
2θ 29.4, I = 933, hkl 0 2 2
2θ 30.6, I = 420, hkl 0 6 0
2θ 32.0, I = 879, hkl 1 5 1
2θ 34.0, I = 424, hkl 2 4 0
2θ 34.4, I = 413, hkl 0 4 2
2θ 38.9, I = 868, hkl 2 0 2
2θ 50.3, I = 482, hkl 2 6 2
2θ 50.9, I = 298, hkl 3 5 1
2θ 51.6, I = 235, hkl 1 5 3

# 8
Starting from DFT lattice parameters and positions (GGA-PBE), the powder X-ray diffraction pattern of Ac2Pm4SmHo was computed for Cu Ka.
Peak positions follow from Bragg's law for the DFT cell and can differ from measured ones.

```
data_Ac2Pm4SmHo
_cell_length_a 14.0944
_cell_length_b 13.7334
_cell_length_c 7.1662
_cell_angle_alpha 90.00
_cell_angle_beta 120.52
_cell_angle_gamma 90.00
_symmetry_space_group_name_H-M 'C 1 2/c 1'
_symmetry_Int_Tables_number 15
_symmetry_space_group_name_Hall '-C 2yc'
loop_
_atom_site_label
_atom_site_type_symbol
_atom_site_fract_x
_atom_site_fract_y
_atom_site_fract_z
Ac1 Ac 0.0000 0.0000 0.0000
Ac2 Ac 0.2500 0.2500 0.0000
Pm1 Pm 0.9999 0.2631 0.0159
Pm2 Pm 0.2346 0.4904 0.4822
Sm1 Sm 0.2500 0.2500 0.5000
Ho1 Ho 0.0000 0.5000 0.0000
```

Top 12 peaks for 2θ = 10–80°, in order of rising 2θ:
2θ 26.0, I = 645, hkl 0 4 0
2θ 28.9, I = 1000, hkl 4 0 -2
2θ 29.4, I = 496, hkl 4 0 0
2θ 39.3, I = 858, hkl 4 4 -2
2θ 39.6, I = 412, hkl 4 4 0
2θ 51.0, I = 109, hkl 4 0 -4
2θ 51.9, I = 103, hkl 4 0 2
2θ 58.1, I = 136, hkl 4 4 -4
2θ 58.9, I = 248, hkl 8 4 -2
2θ 60.0, I = 130, hkl 8 0 -4
2θ 61.8, I = 205, hkl 4 8 -2
2θ 66.4, I = 176, hkl 8 4 -4

# 9
Starting from DFT lattice parameters and positions (GGA-PBE), the powder X-ray diffraction pattern of AcPr8Ho3 was computed for Cu Ka.
Peak positions follow from Bragg's law for the DFT cell and can differ from measured ones.

```
data_AcPr8Ho3
_cell_length_a 6.7457
_cell_length_b 11.6300
_cell_length_c 11.8073
_cell_angle_alpha 90.00
_cell_angle_beta 90.00
_cell_angle_gamma 90.00
_symmetry_space_group_name_H-M 'I m m m'
_symmetry_Int_Tables_number 71
_symmetry_space_group_name_Hall '-I 2 2'
loop_
_atom_site_label
_atom_site_type_symbol
_atom_site_fract_x
_atom_site_fract_y
_atom_site_fract_z
Ac1 Ac 0.0000 0.0000 0.0000
Pr1 Pr 0.0000 0.1730 0.2558
Pr2 Pr 0.2257 0.2807 0.0000
Ho1 Ho 0.0000 0.0000 0.5000
Ho2 Ho 0.0000 0.5000 0.2149
```

Top 12 peaks for 2θ = 10–80°, in order of rising 2θ:
2θ 15.2, I = 169, hkl 1 1 0
2θ 21.4, I = 192, hkl 1 1 2
2θ 26.5, I = 170, hkl 2 0 0
2θ 30.3, I = 371, hkl 0 0 4
2θ 30.5, I = 289, hkl 2 0 2
2θ 30.6, I = 1000, hkl 1 3 2
2θ 34.3, I = 388, hkl 2 2 2
2θ 43.6, I = 170, hkl 0 4 4
2θ 49.3, I = 159, hkl 3 3 2
2θ 54.0, I = 143, hkl 1 3 6
2θ 56.4, I = 146, hkl 2 2 6
2θ 63.7, I = 132, hkl 2 6 4

# 10
Starting from DFT lattice parameters and positions (GGA-PBE), the powder X-ray diffraction pattern of Ac3Pr12Ho was computed for Cu Ka.
Peak positions follow from Bragg's law for the DFT cell and can differ from measured ones.

```
data_Ac3Pr12Ho
_cell_length_a 5.3100
_cell_length_b 5.3100
_cell_length_c 21.1780
_cell_angle_alpha 90.00
_cell_angle_beta 90.00
_cell_angle_gamma 90.00
_symmetry_space_group_name_H-M 'P 4/m m m'
_symmetry_Int_Tables_number 123
_symmetry_space_group_name_Hall '-P 4 2'
loop_
_atom_site_label
_atom_site_type_symbol
_atom_site_fract_x
_atom_site_fract_y
_atom_site_fract_z
Ac1 Ac 0.0000 0.0000 0.0000
Ac2 Ac 0.0000 0.0000 0.2528
Pr1 Pr 0.0000 0.5000 0.1263
Pr2 Pr 0.0000 0.5000 0.3804
Pr3 Pr 0.5000 0.5000 0.0000
Pr4 Pr 0.5000 0.5000 0.2540
Pr5 Pr 0.5000 0.5000 0.5000
Ho1 Ho 0.0000 0.0000 0.5000
```

Top 12 peaks for 2θ = 10–80°, in order of rising 2θ:
2θ 16.7, I = 27, hkl 0 0 4
2θ 23.7, I = 25, hkl 1 0 4
2θ 29.2, I = 1000, hkl 1 1 4
2θ 33.8, I = 343, hkl 2 0 0
2θ 33.9, I = 166, hkl 0 0 8
2θ 48.5, I = 367, hkl 2 2 0
2θ 57.6, I = 297, hkl 3 1 4
2θ 57.7, I = 142, hkl 1 1 12
2θ 60.5, I = 126, hkl 2 2 8
2θ 71.0, I = 40, hkl 4 0 0
2θ 78.5, I = 60, hkl 3 3 4
2θ 78.6, I = 115, hkl 3 1 12

# 11
Starting from DFT lattice parameters and positions (GGA-PBE), the powder X-ray diffraction pattern of AcPr6Ho8 was computed for Cu Ka.
Peak positions follow from Bragg's law for the DFT cell and can differ from measured ones.

```
data_AcPr6Ho8
_cell_length_a 9.3757
_cell_length_b 9.3757
_cell_length_c 20.3656
_cell_angle_alpha 90.00
_cell_angle_beta 90.00
_cell_angle_gamma 120.00
_symmetry_space_group_name_H-M 'R -3'
_symmetry_Int_Tables_number 148
_symmetry_space_group_name_Hall '-R 3'
loop_
_atom_site_label
_atom_site_type_symbol
_atom_site_fract_x
_atom_site_fract_y
_atom_site_fract_z
Ac1 Ac 0.0000 0.0000 0.0000
Pr1 Pr 0.0402 0.7985 0.6923
Ho1 Ho 0.0000 0.0000 0.4301
Ho2 Ho 0.0607 0.8113 0.1653
```

Top 12 peaks for 2θ = 10–80°, in order of rising 2θ:
2θ 26.3, I = 194, hkl 0 0 6
2θ 30.4, I = 1000, hkl 1 2 2
2θ 31.1, I = 141, hkl 2 0 5
2θ 32.6, I = 80, hkl 2 -1 6
2θ 32.7, I = 157, hkl 1 0 7
2θ 34.1, I = 507, hkl 3 -1 4
2θ 44.5, I = 86, hkl 1 1 9
2θ 46.3, I = 81, hkl 1 2 8
2θ 51.6, I = 254, hkl 4 1 0
2θ 58.8, I = 173, hkl 4 1 6
2θ 61.1, I = 131, hkl 6 -2 2
2θ 67.1, I = 83, hkl 3 -1 13

# 12
Starting from DFT lattice parameters and positions (GGA-PBE), the powder X-ray diffraction pattern of AcPrHo14 was computed for Cu Ka.
Peak positions follow from Bragg's law for the DFT cell and can differ from measured ones.

```
data_AcPrHo14
_cell_length_a 11.3403
_cell_length_b 7.2880
_cell_length_c 12.5764
_cell_angle_alpha 90.00
_cell_angle_beta 90.00
_cell_angle_gamma 90.00
_symmetry_space_group_name_H-M 'A m m 2'
_symmetry_Int_Tables_number 38
_symmetry_space_group_name_Hall 'A 2 -2'
loop_
_atom_site_label
_atom_site_type_symbol
_atom_site_fract_x
_atom_site_fract_y
_atom_site_fract_z
Ac1 Ac 0.0000 0.0000 0.0000
Pr1 Pr 0.0000 0.0000 0.5004
Ho1 Ho 0.0000 0.2489 0.2524
Ho2 Ho 0.2519 0.0000 0.6694
Ho3 Ho 0.2549 0.0000 0.1703
Ho4 Ho 0.2571 0.2486 0.4178
Ho5 Ho 0.5000 0.0000 0.0019
Ho6 Ho 0.5000 0.0000 0.5018
Ho7 Ho 0.5000 0.2502 0.2515
```

Top 12 peaks for 2θ = 10–80°, in order of rising 2θ:
2θ 28.3, I = 239, hkl 0 0 4
2θ 31.6, I = 239, hkl 4 0 0
2θ 32.5, I = 1000, hkl 2 2 2
2θ 42.9, I = 155, hkl 4 0 4
2θ 50.1, I = 68, hkl 0 4 0
2θ 50.2, I = 133, hkl 0 2 6
2θ 56.8, I = 203, hkl 6 2 2
2θ 60.4, I = 76, hkl 4 4 0
2θ 60.5, I = 150, hkl 4 2 6
2θ 61.0, I = 110, hkl 2 4 4
2θ 61.2, I = 56, hkl 2 0 8
2θ 79.1, I = 52, hkl 6 4 4

What did the eighth record say?
Starting from DFT lattice parameters and positions (GGA-PBE), the powder X-ray diffraction pattern of Ac2Pm4SmHo was computed for Cu Ka.
Peak positions follow from Bragg's law for the DFT cell and can differ from measured ones.

```
data_Ac2Pm4SmHo
_cell_length_a 14.0944
_cell_length_b 13.7334
_cell_length_c 7.1662
_cell_angle_alpha 90.00
_cell_angle_beta 120.52
_cell_angle_gamma 90.00
_symmetry_space_group_name_H-M 'C 1 2/c 1'
_symmetry_Int_Tables_number 15
_symmetry_space_group_name_Hall '-C 2yc'
loop_
_atom_site_label
_atom_site_type_symbol
_atom_site_fract_x
_atom_site_fract_y
_atom_site_fract_z
Ac1 Ac 0.0000 0.0000 0.0000
Ac2 Ac 0.2500 0.2500 0.0000
Pm1 Pm 0.9999 0.2631 0.0159
Pm2 Pm 0.2346 0.4904 0.4822
Sm1 Sm 0.2500 0.2500 0.5000
Ho1 Ho 0.0000 0.5000 0.0000
```

Top 12 peaks for 2θ = 10–80°, in order of rising 2θ:
2θ 26.0, I = 645, hkl 0 4 0
2θ 28.9, I = 1000, hkl 4 0 -2
2θ 29.4, I = 496, hkl 4 0 0
2θ 39.3, I = 858, hkl 4 4 -2
2θ 39.6, I = 412, hkl 4 4 0
2θ 51.0, I = 109, hkl 4 0 -4
2θ 51.9, I = 103, hkl 4 0 2
2θ 58.1, I = 136, hkl 4 4 -4
2θ 58.9, I = 248, hkl 8 4 -2
2θ 60.0, I = 130, hkl 8 0 -4
2θ 61.8, I = 205, hkl 4 8 -2
2θ 66.4, I = 176, hkl 8 4 -4